This entry pairs a crystal structure of Cu4Ag5 with its simulated X-ray diffraction stick pattern. Radiation: Cu Kα (λ = 1.5418 Å). Structure: a DFT-relaxed cell (PBE, OQMD).

Cell and atoms:
Unit cell a=13.0800 b=13.0800 c=13.0800 alpha=167.54 beta=163.47 gamma=20.75
Element x y z (fractional)
Cu 0.0548 0.0548 0.0000
Cu 0.1636 0.1636 0.0000
Cu 0.8364 0.8364 0.0000
Cu 0.9452 0.9452 0.0000
Ag 0.2812 0.2812 0.0000
Ag 0.3906 0.3906 0.0000
Ag 0.5000 0.5000 0.0000
Ag 0.6094 0.6094 0.0000
Ag 0.7188 0.7188 0.0000

The 12 most intense peaks (10 to 90 degrees two-theta), sorted by position:
2θ/deg, I_rel
39.60, 100
39.78, 100
45.00, 68
48.40, 28
65.27, 10
65.79, 10
68.22, 36
79.23, 22
79.60, 23
84.36, 10
84.48, 10
85.76, 10

This entry pairs a crystal structure of Cu3Ag2 with its simulated X-ray diffraction stick pattern. Radiation: Cu Kα (λ = 1.5418 Å). Structure: a DFT-relaxed cell (PBE, OQMD).

Cell and atoms:
Unit cell a=7.3341 b=7.3341 c=5.5635 alpha=100.24 beta=100.24 gamma=29.16
Element x y z (fractional)
Cu 0.0000 0.0000 0.0000
Cu 0.0033 0.0033 0.4732
Cu 0.4068 0.4068 0.1807
Cu 0.5877 0.5877 0.2756
Cu 0.5944 0.5944 0.7814
Cu 0.8062 0.8062 0.8920
Ag 0.1941 0.1941 0.0737
Ag 0.1943 0.1943 0.5813
Ag 0.4079 0.4079 0.6968
Ag 0.8065 0.8065 0.3753

The 12 most intense peaks (10 to 90 degrees two-theta), sorted by position:
2θ/deg, I_rel
40.56, 100
45.77, 17
46.37, 16
49.36, 14
67.33, 5
69.58, 9
70.04, 9
81.00, 5
81.18, 5
81.89, 5
82.06, 5
86.42, 10

This entry pairs a crystal structure of Cu3Ag2 with its simulated X-ray diffraction stick pattern. Radiation: Cu Kα (λ = 1.5418 Å). Structure: a DFT-relaxed cell (PBE, OQMD).

Cell and atoms:
Unit cell a=11.2153 b=11.2153 c=4.6606 alpha=95.26 beta=95.26 gamma=14.16
Element x y z (fractional)
Cu 0.0000 0.0000 0.0000
Cu 0.0968 0.0968 0.7033
Cu 0.5015 0.5015 0.5065
Cu 0.6960 0.6960 0.9065
Cu 0.8025 0.8025 0.6036
Cu 0.9078 0.9078 0.3022
Ag 0.2020 0.2020 0.4230
Ag 0.3016 0.3016 0.1039
Ag 0.4027 0.4027 0.7937
Ag 0.5965 0.5965 0.1988

The 12 most intense peaks (10 to 90 degrees two-theta), sorted by position:
2θ/deg, I_rel
40.44, 100
40.73, 95
46.71, 64
48.20, 29
67.80, 10
68.60, 9
69.38, 35
82.21, 22
82.77, 20
84.61, 10
84.79, 10
87.46, 10

This entry pairs a crystal structure of CuAg7 with its simulated X-ray diffraction stick pattern. Radiation: Cu Kα (λ = 1.5418 Å). Structure: a DFT-relaxed cell (PBE, OQMD).

Cell and atoms:
Unit cell a=8.6138 b=8.6138 c=2.9095 alpha=90.00 beta=90.00 gamma=140.52
Element x y z (fractional)
Cu 0.0000 0.0000 0.0000
Ag 0.1220 0.3627 0.5000
Ag 0.2522 0.7478 0.0000
Ag 0.3627 0.1220 0.5000
Ag 0.5000 0.5000 0.0000
Ag 0.6373 0.8780 0.5000
Ag 0.7478 0.2522 0.0000
Ag 0.8780 0.6373 0.5000

The 12 most intense peaks (10 to 90 degrees two-theta), sorted by position:
2θ/deg, I_rel
32.70, 1
33.15, 1
34.92, 1
38.07, 100
44.01, 33
44.71, 15
64.00, 10
64.54, 19
65.95, 1
76.96, 23
77.96, 11
81.43, 10

This entry pairs a crystal structure of Cu4Ag5 with its simulated X-ray diffraction stick pattern. Radiation: Cu Kα (λ = 1.5418 Å). Structure: a DFT-relaxed cell (PBE, OQMD).

Cell and atoms:
Unit cell a=4.8834 b=4.8834 c=6.7992 alpha=91.11 beta=91.11 gamma=121.73
Element x y z (fractional)
Cu 0.0000 0.0000 0.0000
Cu 0.3239 0.0105 0.3266
Cu 0.6556 0.3444 0.0000
Cu 0.9895 0.6761 0.6734
Ag 0.3172 0.6828 0.0000
Ag 0.3297 0.3289 0.6712
Ag 0.6612 0.0104 0.6714
Ag 0.6711 0.6703 0.3288
Ag 0.9896 0.3388 0.3286

The 12 most intense peaks (10 to 90 degrees two-theta), sorted by position:
2θ/deg, I_rel
39.50, 100
39.69, 50
39.81, 49
45.31, 67
47.58, 29
65.66, 11
67.72, 19
67.88, 18
79.58, 22
79.99, 11
80.14, 11
83.07, 16

This entry pairs a crystal structure of Cu3Ag2 with its simulated X-ray diffraction stick pattern. Radiation: Cu Kα (λ = 1.5418 Å). Structure: a DFT-relaxed cell (PBE, OQMD).

Cell and atoms:
Unit cell a=2.8328 b=2.8328 c=17.7544 alpha=90.00 beta=90.00 gamma=90.00
Element x y z (fractional)
Cu 0.0000 0.0000 0.1057
Cu 0.0000 0.0000 0.2749
Cu 0.0000 0.0000 0.7251
Cu 0.0000 0.0000 0.8943
Cu 0.5000 0.5000 0.1905
Cu 0.5000 0.5000 0.8095
Ag 0.0000 0.0000 0.5000
Ag 0.5000 0.5000 0.0000
Ag 0.5000 0.5000 0.3790
Ag 0.5000 0.5000 0.6210

The 12 most intense peaks (10 to 90 degrees two-theta), sorted by position:
2θ/deg, I_rel
35.12, 14
37.67, 8
40.74, 100
44.26, 6
45.27, 43
51.47, 5
62.46, 8
65.95, 13
70.93, 8
77.61, 6
80.49, 26
88.26, 4

This entry pairs a crystal structure of Cu4Ag5 with its simulated X-ray diffraction stick pattern. Radiation: Cu Kα (λ = 1.5418 Å). Structure: a DFT-relaxed cell (PBE, OQMD).

Cell and atoms:
Unit cell a=4.9545 b=4.9545 c=10.9933 alpha=111.69 beta=111.69 gamma=33.42
Element x y z (fractional)
Cu 0.1553 0.1553 0.2334
Cu 0.1957 0.1957 0.5672
Cu 0.8043 0.8043 0.4328
Cu 0.8447 0.8447 0.7666
Ag 0.1739 0.1739 0.8748
Ag 0.5000 0.5000 0.0000
Ag 0.4998 0.4998 0.3601
Ag 0.5002 0.5002 0.6399
Ag 0.8261 0.8261 0.1252

The 12 most intense peaks (10 to 90 degrees two-theta), sorted by position:
2θ/deg, I_rel
35.66, 8
39.47, 98
40.09, 100
41.21, 12
44.44, 77
49.76, 18
63.78, 10
65.53, 12
68.90, 24
78.06, 20
79.26, 12
79.27, 11

This entry pairs a crystal structure of Cu3Ag7 with its simulated X-ray diffraction stick pattern. Radiation: Cu Kα (λ = 1.5418 Å). Structure: a DFT-relaxed cell (PBE, OQMD).

Cell and atoms:
Unit cell a=4.9116 b=4.9152 c=7.5106 alpha=102.25 beta=108.80 gamma=99.93
Element x y z (fractional)
Cu 0.0000 0.0000 0.0000
Cu 0.1936 0.0992 0.7159
Cu 0.6167 0.8187 0.6241
Ag 0.0103 0.5217 0.5211
Ag 0.2016 0.6054 0.2110
Ag 0.4006 0.2077 0.4202
Ag 0.4107 0.7116 0.9071
Ag 0.5914 0.2958 0.1056
Ag 0.8024 0.3931 0.8112
Ag 0.8063 0.9116 0.3204

The 12 most intense peaks (10 to 90 degrees two-theta), sorted by position:
2θ/deg, I_rel
38.76, 50
38.82, 100
38.97, 49
45.04, 64
45.38, 31
65.66, 10
65.71, 10
65.81, 10
65.97, 19
78.87, 22
79.11, 11
79.29, 11

This entry pairs a crystal structure of CuAg9 with its simulated X-ray diffraction stick pattern. Radiation: Cu Kα (λ = 1.5418 Å). Structure: a DFT-relaxed cell (PBE, OQMD).

Cell and atoms:
Unit cell a=7.7021 b=7.7021 c=5.8474 alpha=101.18 beta=101.18 gamma=30.87
Element x y z (fractional)
Cu 0.0000 0.0000 0.0000
Ag 0.0000 0.0000 0.5000
Ag 0.1972 0.1972 0.0980
Ag 0.2000 0.2000 0.6007
Ag 0.4024 0.4024 0.1961
Ag 0.4028 0.4028 0.7067
Ag 0.5972 0.5972 0.2933
Ag 0.5976 0.5976 0.8039
Ag 0.8000 0.8000 0.3993
Ag 0.8028 0.8028 0.9020

The 12 most intense peaks (10 to 90 degrees two-theta), sorted by position:
2θ/deg, I_rel
37.79, 100
37.92, 99
43.81, 32
44.00, 32
44.18, 32
63.99, 29
64.12, 19
76.41, 12
76.66, 11
76.69, 11
76.98, 23
77.11, 11

This entry pairs a crystal structure of Cu3Ag7 with its simulated X-ray diffraction stick pattern. Radiation: Cu Kα (λ = 1.5418 Å). Structure: a DFT-relaxed cell (PBE, OQMD).

Cell and atoms:
Unit cell a=2.8914 b=2.8914 c=19.3253 alpha=90.00 beta=90.00 gamma=90.00
Element x y z (fractional)
Cu 0.0000 0.0000 0.0000
Cu 0.0000 0.0000 0.4066
Cu 0.0000 0.0000 0.5934
Ag 0.0000 0.0000 0.2026
Ag 0.0000 0.0000 0.7974
Ag 0.5000 0.5000 0.0924
Ag 0.5000 0.5000 0.3134
Ag 0.5000 0.5000 0.5000
Ag 0.5000 0.5000 0.6866
Ag 0.5000 0.5000 0.9076

The 12 most intense peaks (10 to 90 degrees two-theta), sorted by position:
2θ/deg, I_rel
32.32, 2
32.43, 2
33.99, 3
38.90, 100
44.30, 36
47.02, 12
64.45, 11
66.45, 2
66.59, 16
77.90, 24
81.85, 6
83.51, 8

This entry pairs a crystal structure of Cu5Ag3 with its simulated X-ray diffraction stick pattern. Radiation: Cu Kα (λ = 1.5418 Å). Structure: a DFT-relaxed cell (PBE, OQMD).

Cell and atoms:
Unit cell a=2.7548 b=2.7548 c=14.8662 alpha=90.00 beta=90.00 gamma=90.00
Element x y z (fractional)
Cu 0.0000 0.0000 0.0000
Cu 0.0000 0.0000 0.2177
Cu 0.0000 0.0000 0.7353
Cu 0.5000 0.5000 0.1092
Cu 0.5000 0.5000 0.6282
Ag 0.0000 0.0000 0.4988
Ag 0.5000 0.5000 0.3485
Ag 0.5000 0.5000 0.8671

The 12 most intense peaks (10 to 90 degrees two-theta), sorted by position:
2θ/deg, I_rel
34.73, 8
36.26, 5
40.77, 100
46.63, 36
49.02, 11
60.45, 4
68.07, 11
69.97, 14
72.21, 4
82.48, 23
86.05, 5
88.32, 7

This entry pairs a crystal structure of Cu3Ag7 with its simulated X-ray diffraction stick pattern. Radiation: Cu Kα (λ = 1.5418 Å). Structure: a DFT-relaxed cell (PBE, OQMD).

Cell and atoms:
Unit cell a=2.8728 b=2.8728 c=19.4041 alpha=90.00 beta=90.00 gamma=90.00
Element x y z (fractional)
Cu 0.0000 0.0000 0.0000
Cu 0.0000 0.0000 0.3745
Cu 0.5000 0.5000 0.2994
Ag 0.0000 0.0000 0.2048
Ag 0.0000 0.0000 0.5788
Ag 0.0000 0.0000 0.7974
Ag 0.5000 0.5000 0.0936
Ag 0.5000 0.5000 0.4686
Ag 0.5000 0.5000 0.6882
Ag 0.5000 0.5000 0.9070

The 12 most intense peaks (10 to 90 degrees two-theta), sorted by position:
2θ/deg, I_rel
34.15, 4
36.34, 9
39.01, 100
41.90, 5
44.61, 39
46.82, 9
62.86, 6
64.92, 12
66.66, 11
76.28, 5
78.41, 23
83.79, 6